Starting from a structure optimized by DFT (PBE), the powder X-ray diffraction pattern of Sr4LiAg3 was calculated for λ = 1.5418 Å (Cu Kα).
Peak positions follow from Bragg's law for the DFT cell and can differ from measured ones.

Peak list (10 most intense, 5 to 70 degrees two-theta, by angle)
(0 0 1), 2θ 7.22, I 365
(1 1 1), 2θ 28.08, I 1000
(1 0 3), 2θ 29.31, I 418
(0 1 4), 2θ 34.93, I 347
(1 1 3), 2θ 35.03, I 725
(0 2 0), 2θ 38.05, I 288
(2 0 0), 2θ 39.32, I 262
(0 1 6), 2θ 48.64, I 211
(1 2 3), 2θ 48.74, I 199
(2 1 4), 2θ 53.60, I 195

Atomic structure:
```
data_Sr4LiAg3
_space_group_name_H-M_alt 'P m m 2'
_space_group_IT_number 25
_cell_length_a 4.5829
_cell_length_b 4.7296
_cell_length_c 12.2370
_cell_angle_alpha 90.00
_cell_angle_beta 90.00
_cell_angle_gamma 90.00
loop_
_space_group_symop_operation_xyz
'x,y,z'
'-x,-y,z'
'-x,y,z'
'x,-y,z'
loop_
_atom_site_label
_atom_site_fract_x
_atom_site_fract_y
_atom_site_fract_z
_atom_site_occupancy
Sr1 0.0000 0.0000 0.0000 1
Sr2 0.0000 0.5000 0.2732 1
Sr3 0.5000 0.0000 0.4846 1
Sr4 0.5000 0.5000 0.7778 1
Li1 0.0000 0.0000 0.6893 1
Ag1 0.0000 0.5000 0.5672 1
Ag2 0.5000 0.0000 0.2054 1
Ag3 0.5000 0.5000 0.0638 1
```